This entry pairs a crystal structure of Li2MnP2O7 with its simulated powder diffractogram. Radiation: Cu Kα (weighted mean of Kα1 and Kα2). Structure: a DFT-relaxed cell (GGA+U, the Materials Project).
Kinematic intensities with the Lorentz-polarization factor, no thermal factor.

The 10 most intense peaks (2θ from 5° to 70°), low angle first:
- d 6.521, I = 28.0
- d 5.932, I = 8.9
- d 4.937, I = 100.0
- d 3.641, I = 22.8
- d 3.126, I = 87.7
- d 2.721, I = 23.7
- d 2.330, I = 36.0
- d 2.309, I = 10.1
- d 1.952, I = 9.9
- d 1.536, I = 19.8

Structure:
Lattice parameters (Å, degrees): 8.194 8.194 9.924 93.43 93.43 105.48
Fractional positions:
Li 0.015 0.485 0.749
Li 0.235 0.765 0.000
Li 0.265 0.736 0.500
Li 0.485 0.015 0.749
Li 0.516 0.986 0.249
Li 0.736 0.265 0.500
Li 0.765 0.235 0.000
Li 0.986 0.516 0.249
Mn 0.004 0.004 0.999
Mn 0.250 0.250 0.750
Mn 0.507 0.507 0.500
Mn 0.751 0.751 0.253
P 0.075 0.850 0.712
P 0.152 0.926 0.288
P 0.351 0.576 0.212
P 0.426 0.652 0.788
P 0.576 0.351 0.212
P 0.652 0.426 0.788
P 0.850 0.075 0.712
P 0.926 0.152 0.288
O 0.003 0.770 0.309
O 0.060 0.826 0.865
O 0.073 0.688 0.630
O 0.093 0.093 0.342
O 0.175 0.941 0.135
O 0.188 0.574 0.131
O 0.232 0.999 0.691
O 0.269 0.502 0.807
O 0.314 0.928 0.370
O 0.328 0.561 0.365
O 0.409 0.409 0.158
O 0.428 0.813 0.871
O 0.443 0.677 0.636
O 0.500 0.733 0.192
O 0.502 0.269 0.807
O 0.561 0.328 0.365
O 0.574 0.188 0.131
O 0.593 0.593 0.843
O 0.677 0.443 0.636
O 0.688 0.073 0.630
O 0.733 0.500 0.192
O 0.770 0.003 0.309
O 0.813 0.428 0.871
O 0.826 0.060 0.865
O 0.908 0.908 0.657
O 0.928 0.314 0.370
O 0.941 0.175 0.135
O 0.999 0.232 0.691